The following is a theoretical PXRD pattern of Cr3ReC. It was derived from a PBE-relaxed structure, using Cu Kα X-rays.

```
data_Cr3ReC
_cell_length_a 3.8425
_cell_length_b 3.8425
_cell_length_c 3.8425
_cell_angle_alpha 90.00
_cell_angle_beta 90.00
_cell_angle_gamma 90.00
_space_group_name_H-M_alt 'P m -3 m'
_space_group_IT_number 221
_space_group_name_Hall '-P 4 2 3'
loop_
_atom_site_label
_atom_site_type_symbol
_atom_site_fract_x
_atom_site_fract_y
_atom_site_fract_z
Cr1 Cr 0.0000 0.0000 0.5000
Re1 Re 0.5000 0.5000 0.5000
C1 C 0.0000 0.0000 0.0000
```

Principal peaks in the range 2θ = 10–80°, by intensity:
- 2.218 Å, 2θ = 40.67°, I = 100, hkl 1 1 1
- 1.921 Å, 2θ = 47.31°, I = 53, hkl 2 0 0
- 2.717 Å, 2θ = 32.97°, I = 47, hkl 1 1 0
- 3.842 Å, 2θ = 23.15°, I = 39, hkl 1 0 0
- 1.359 Å, 2θ = 69.15°, I = 32, hkl 2 2 0
- 1.718 Å, 2θ = 53.31°, I = 19, hkl 2 1 0
- 1.569 Å, 2θ = 58.87°, I = 19, hkl 2 1 1
- 1.281 Å, 2θ = 74.01°, I = 10, hkl 3 0 0
- 1.215 Å, 2θ = 78.76°, I = 8, hkl 3 1 0

The following is a theoretical PXRD pattern of Cr3Ru3C2. It was derived from a PBE-relaxed structure, using Cu Kα X-rays.

```
data_Cr3Ru3C2
_cell_length_a 2.7746
_cell_length_b 2.7746
_cell_length_c 13.2505
_cell_angle_alpha 90.00
_cell_angle_beta 90.00
_cell_angle_gamma 120.00
_space_group_name_H-M_alt 'P -3 m 1'
_space_group_IT_number 164
_space_group_name_Hall '-P 3 2"'
loop_
_atom_site_label
_atom_site_type_symbol
_atom_site_fract_x
_atom_site_fract_y
_atom_site_fract_z
Cr1 Cr 0.0000 0.0000 0.0000
Cr2 Cr 0.3333 0.6667 0.8255
Ru1 Ru 0.0000 0.0000 0.5000
Ru2 Ru 0.3333 0.6667 0.3348
C1 C 0.3333 0.6667 0.0946
```

Principal peaks in the range 2θ = 10–80°, by intensity:
- 2.259 Å, 2θ = 39.91°, I = 100, hkl 1 0 2
- 1.945 Å, 2θ = 46.70°, I = 73, hkl 0 1 4
- 2.208 Å, 2θ = 40.86°, I = 31, hkl 0 0 6
- 1.387 Å, 2θ = 67.52°, I = 23, hkl 1 1 0
- 1.364 Å, 2θ = 68.85°, I = 20, hkl 1 0 8
- 2.111 Å, 2θ = 42.84°, I = 9, hkl 1 0 3
- 2.364 Å, 2θ = 38.06°, I = 9, hkl 1 0 1
- 1.780 Å, 2θ = 51.33°, I = 4, hkl 0 1 5
- 1.893 Å, 2θ = 48.07°, I = 2, hkl 0 0 7
- 1.255 Å, 2θ = 75.77°, I = 2, hkl 1 0 9

The following is a theoretical PXRD pattern of Sc2CrC. It was derived from a PBE-relaxed structure, using Cu Kα X-rays.

```
data_Sc2CrC
_cell_length_a 3.2060
_cell_length_b 3.2060
_cell_length_c 7.2674
_cell_angle_alpha 90.00
_cell_angle_beta 90.00
_cell_angle_gamma 120.00
_space_group_name_H-M_alt 'P 3 m 1'
_space_group_IT_number 156
loop_
_space_group_symop_operation_xyz
'x,y,z'
'-y,x-y,z'
'-x+y,-x,z'
'-y,-x,z'
'-x+y,y,z'
'x,x-y,z'
loop_
_atom_site_label
_atom_site_type_symbol
_atom_site_fract_x
_atom_site_fract_y
_atom_site_fract_z
Sc1 Sc 0.0000 0.0000 0.0000
Sc2 Sc 0.3333 0.6667 0.4042
Cr1 Cr 0.6667 0.3333 0.7019
C1 C 0.3333 0.6667 0.8079
```

Principal peaks in the range 2θ = 10–80°, by intensity:
- 2.594 Å, 2θ = 34.58°, I = 100, hkl 0 1 1
- 2.206 Å, 2θ = 40.91°, I = 75, hkl 1 0 2
- 7.267 Å, 2θ = 12.18°, I = 36, hkl 0 0 1
- 1.603 Å, 2θ = 57.49°, I = 27, hkl 1 1 0
- 2.422 Å, 2θ = 37.11°, I = 23, hkl 0 0 3
- 1.337 Å, 2θ = 70.44°, I = 17, hkl 1 1 3
- 1.825 Å, 2θ = 49.97°, I = 13, hkl 1 0 3
- 1.520 Å, 2θ = 60.94°, I = 12, hkl 0 1 4
- 1.364 Å, 2θ = 68.86°, I = 11, hkl 2 0 1
- 1.297 Å, 2θ = 72.95°, I = 11, hkl 0 2 2

- Number 2 is which compound?
  Cr3Ru3C2